Theoretical XRD peak list
Compound: Nb2VZn2O8
Radiation: Cu Kα
Structure: the GGA+U geometry in the Materials Project
Lines closer than 0.1° are merged.

Crystal structure
```
Nb2VZn2O8
1.0
9.7628 -2.9813 0.0000
9.7628 2.9813 0.0000
-0.0313 0.0000 5.3134
Nb V Zn O
4 2 4 16
direct
0.0434 0.7254 0.7354
0.2746 0.9566 0.7646
0.7254 0.0434 0.2354
0.9566 0.2746 0.2646
0.3534 0.6466 0.2500
0.6466 0.3534 0.7500
0.1268 0.4348 0.2324
0.4348 0.1268 0.7324
0.5652 0.8732 0.2676
0.8732 0.5652 0.7676
0.0447 0.8142 0.0730
0.0740 0.2828 0.5650
0.1592 0.4522 0.8642
0.1858 0.9553 0.4270
0.2828 0.0740 0.0650
0.3153 0.5683 0.5946
0.4317 0.6847 0.9054
0.4522 0.1592 0.3642
0.5478 0.8408 0.6358
0.5683 0.3153 0.0946
0.6847 0.4317 0.4054
0.7172 0.9260 0.9350
0.8142 0.0447 0.5730
0.8408 0.5478 0.1358
0.9260 0.7172 0.4350
0.9553 0.1858 0.9270
```

Peak list (10 most intense, 2θ from 15° to 90°, by angle)
| 2theta | intensity |
| --- | --- |
| 22.88 | 25 |
| 27.30 | 76 |
| 32.09 | 100 |
| 32.24 | 73 |
| 33.74 | 59 |
| 34.50 | 84 |
| 43.82 | 24 |
| 51.42 | 24 |
| 51.60 | 39 |
| 60.83 | 35 |

=====

Theoretical XRD peak list
Compound: NdNi2O4
Radiation: Cu Kα
Structure: the GGA+U geometry in the Materials Project
Lines closer than 0.1° are merged.

Crystal structure
```
NdNi2O4
1.0
3.0153 -5.7720 0.0000
3.0153 5.7720 0.0000
0.0000 0.0000 5.5779
Nd Ni O
2 4 8
direct
0.0000 0.0000 0.0000
0.5000 0.5000 0.5000
0.1879 0.8121 0.5933
0.3121 0.6879 0.0933
0.6879 0.3121 0.9067
0.8121 0.1879 0.4067
0.1466 0.3534 0.2500
0.1666 0.8334 0.2569
0.3334 0.6666 0.7569
0.3534 0.1466 0.7500
0.6466 0.8534 0.2500
0.6666 0.3334 0.2431
0.8334 0.1666 0.7431
0.8534 0.6466 0.7500
```

Peak list (10 most intense, 2θ from 15° to 90°, by angle)
| 2theta | intensity |
| --- | --- |
| 23.05 | 39 |
| 29.63 | 38 |
| 31.91 | 100 |
| 36.33 | 14 |
| 44.24 | 13 |
| 45.21 | 11 |
| 47.10 | 10 |
| 52.08 | 10 |
| 54.03 | 22 |
| 56.76 | 12 |

=====

Theoretical XRD peak list
Compound: NdNiO2
Radiation: Cu Kα
Structure: the GGA+U geometry in the Materials Project
Lines closer than 0.1° are merged.

Crystal structure
```
NdNiO2
1.0
3.9621 0.0000 0.0000
0.0000 3.9621 0.0000
0.0000 0.0000 3.2685
Nd Ni O
1 1 2
direct
0.0000 0.0000 0.0000
0.5000 0.5000 0.5000
0.0000 0.5000 0.5000
0.5000 0.0000 0.5000
```

Peak list (10 most intense, 2θ from 15° to 90°, by angle)
| 2theta | intensity |
| --- | --- |
| 22.44 | 23 |
| 31.94 | 47 |
| 35.61 | 100 |
| 42.50 | 17 |
| 45.80 | 32 |
| 59.33 | 44 |
| 66.20 | 12 |
| 66.78 | 10 |
| 75.40 | 13 |
| 78.04 | 10 |

=====

Theoretical XRD peak list
Compound: Nd2NiPtO6
Radiation: Cu Kα
Structure: the GGA+U geometry in the Materials Project
Lines closer than 0.1° are merged.

Crystal structure
```
Nd2NiPtO6
1.0
5.4799 0.0000 0.0000
0.0000 5.7997 0.0000
-5.4729 0.0000 7.8609
Nd Ni Pt O
4 2 2 12
direct
0.2322 0.0678 0.2510
0.2322 0.4322 0.7510
0.7678 0.5678 0.2490
0.7678 0.9322 0.7490
0.5000 0.0000 0.0000
0.5000 0.5000 0.5000
0.0000 0.0000 0.5000
0.0000 0.5000 0.0000
0.1376 0.2030 0.9460
0.1376 0.2970 0.4460
0.2507 0.6977 0.9475
0.2507 0.8023 0.4475
0.3538 0.0330 0.7493
0.3538 0.4670 0.2493
0.6462 0.5330 0.7507
0.6462 0.9670 0.2507
0.7493 0.1977 0.5525
0.7493 0.3023 0.0525
0.8624 0.7030 0.5540
0.8624 0.7970 0.0540
```

Peak list (10 most intense, 2θ from 15° to 90°, by angle)
| 2theta | intensity |
| --- | --- |
| 19.02 | 12 |
| 19.74 | 11 |
| 25.06 | 11 |
| 30.83 | 21 |
| 31.99 | 100 |
| 32.68 | 24 |
| 45.55 | 19 |
| 46.19 | 13 |
| 57.73 | 11 |
| 57.89 | 21 |